# 1
# CePr4Te5
Calculated PXRD pattern, λ = 1.5418 Å (Cu Kα). Input: DFT lattice parameters and positions (PBE).
Kinematic intensities with the Lorentz-polarization factor, no thermal factor.

Principal peaks in the range 10 to 90 degrees two-theta, by angle:
| 2θ/deg | I/Imax |
| --- | --- |
| 24.10 | 1 |
| 27.89 | 100 |
| 39.86 | 76 |
| 49.35 | 27 |
| 57.56 | 4 |
| 57.67 | 9 |
| 65.20 | 24 |
| 65.26 | 12 |
| 72.37 | 26 |
| 85.95 | 8 |

Cell and atoms:
```
data_CePr4Te5
_symmetry_space_group_name_H-M 'P 1'
_symmetry_Int_Tables_number 1
_symmetry_space_group_name_Hall 'P 1'
_cell_length_a 7.8328
_cell_length_b 7.8328
_cell_length_c 7.8328
_cell_angle_alpha 99.62
_cell_angle_beta 99.62
_cell_angle_gamma 131.74
loop_
_atom_site_label
_atom_site_type_symbol
_atom_site_fract_x
_atom_site_fract_y
_atom_site_fract_z
Ce1 Ce 0.0000 0.0000 0.0000
Pr1 Pr 0.1996 0.4053 0.6032
Pr2 Pr 0.4053 0.8021 0.2057
Pr3 Pr 0.5964 0.1996 0.7943
Pr4 Pr 0.8021 0.5964 0.3968
Te1 Te 0.1010 0.7049 0.8042
Te2 Te 0.2967 0.1010 0.3960
Te3 Te 0.5000 0.5000 0.0000
Te4 Te 0.7049 0.9007 0.6040
Te5 Te 0.9007 0.2967 0.1958
```


# 2
# BaNa3Li8
Calculated PXRD pattern, λ = 1.5418 Å (Cu Kα). Input: DFT lattice parameters and positions (PBE).
Kinematic intensities with the Lorentz-polarization factor, no thermal factor.

Principal peaks in the range 10 to 90 degrees two-theta, by angle:
| 2θ/deg | I/Imax |
| --- | --- |
| 16.87 | 57 |
| 17.13 | 32 |
| 17.58 | 100 |
| 20.20 | 39 |
| 21.97 | 36 |
| 28.44 | 60 |
| 29.00 | 59 |
| 33.39 | 34 |
| 33.88 | 58 |
| 34.12 | 30 |

Cell and atoms:
```
data_BaNa3Li8
_symmetry_space_group_name_H-M 'P 1'
_symmetry_Int_Tables_number 1
_symmetry_space_group_name_Hall 'P 1'
_cell_length_a 10.9434
_cell_length_b 10.9434
_cell_length_c 10.9434
_cell_angle_alpha 32.68
_cell_angle_beta 32.68
_cell_angle_gamma 32.68
loop_
_atom_site_label
_atom_site_type_symbol
_atom_site_fract_x
_atom_site_fract_y
_atom_site_fract_z
Ba1 Ba 0.0000 0.0000 0.0000
Na1 Na 0.3835 0.3835 0.3835
Na2 Na 0.5011 0.5011 0.5011
Na3 Na 0.8720 0.8720 0.8720
Li1 Li 0.1875 0.1875 0.1875
Li2 Li 0.4350 0.4350 0.9314
Li3 Li 0.4350 0.9314 0.4350
Li4 Li 0.4426 0.9392 0.9392
Li5 Li 0.6892 0.6892 0.6892
Li6 Li 0.9314 0.4350 0.4350
Li7 Li 0.9392 0.4426 0.9392
Li8 Li 0.9392 0.9392 0.4426
```